# 1
The following is a computed powder X-ray diffraction pattern of LiY5Mo2O12. It was derived from a structure optimized by DFT (GGA+U), using Cu Kα X-rays.
Peak positions follow from Bragg's law for the DFT cell and can differ from measured ones.

Top 10 peaks for 5° ≤ 2θ ≤ 70°, sorted by position:
2θ (°)	Rel. int.
25.2	27
26.9	93
28.4	100
29.9	32
32.2	24
32.7	24
33.1	51
39.6	41
49.3	41
55.2	38

Structural model:
Cell: 12.5045 5.9487 7.3944 Å, 90.00 107.06 90.00°
Space group C2/m (No. 12)
Inequivalent atoms, fractional coordinates:
Li1 0.0000 0.0000 0.0000 (multiplicity 2)
Y1 0.0000 0.5000 0.0000 (multiplicity 2)
Y2 0.1964 0.0000 0.3443 (multiplicity 4)
Y3 0.2056 0.0000 0.8584 (multiplicity 4)
Mo1 0.0000 0.2686 0.5000 (multiplicity 4)
O1 0.0019 0.0000 0.3106 (multiplicity 4)
O2 0.0068 0.5000 0.3016 (multiplicity 4)
O3 0.1447 0.2379 0.0656 (multiplicity 8)
O4 0.1703 0.2339 0.5948 (multiplicity 8)

# 2
The following is a computed powder X-ray diffraction pattern of LiYMo2O8. It was derived from a structure optimized by DFT (GGA+U), using Cu Kα X-rays.
Peak positions follow from Bragg's law for the DFT cell and can differ from measured ones.

Top 10 peaks for 5° ≤ 2θ ≤ 70°, sorted by position:
2θ (°)	Rel. int.
9.3	51
18.7	19
18.9	18
28.2	68
28.4	66
30.0	100
30.8	27
46.9	21
48.0	18
48.5	23

Structural model:
Cell: 5.0483 6.7480 9.9047 Å, 98.12 100.97 110.39°
Space group P-1 (No. 2)
Inequivalent atoms, fractional coordinates:
Li1 0.1816 0.3351 0.0492 (multiplicity 2)
Y1 0.3087 0.1842 0.4330 (multiplicity 2)
Mo1 0.0577 0.4301 0.7006 (multiplicity 2)
Mo2 0.4485 0.1102 0.8121 (multiplicity 2)
O1 0.0628 0.3522 0.2695 (multiplicity 2)
O2 0.1667 0.0790 0.6428 (multiplicity 2)
O3 0.1932 0.6698 0.1167 (multiplicity 2)
O4 0.2631 0.0674 0.9436 (multiplicity 2)
O5 0.2717 0.4831 0.5687 (multiplicity 2)
O6 0.2870 0.8104 0.4022 (multiplicity 2)
O7 0.3374 0.4442 0.8487 (multiplicity 2)
O8 0.4583 0.1194 0.2359 (multiplicity 2)